Record 1
Computed powder X-ray diffraction pattern
Compound: Ce2Sb2Pd7Au
Radiation: Cu Kα X-rays
Structure: DFT lattice parameters and positions (GGA-PBE)
Peak positions follow from Bragg's law for the DFT cell and can differ from measured ones.

Largest 8 diffraction maxima, by angle, 2θ from 10° to 80°:
index	d_spacing	2θ/deg	I/Imax
0 2 3	2.545	35.27	100
1 1 4	2.425	37.07	26
2 0 3	2.370	37.97	39
2 2 0	2.257	39.95	51
2 2 1	2.215	40.74	26
2 0 4	2.081	43.49	30
2 4 3	1.382	67.80	19
4 2 3	1.297	72.93	24

Cell and atoms:
```
data_Ce2Sb2Pd7Au
_cell_length_a 6.0304
_cell_length_b 6.8062
_cell_length_c 11.5006
_cell_angle_alpha 90.00
_cell_angle_beta 90.00
_cell_angle_gamma 90.00
_symmetry_space_group_name_H-M 'C m m m'
_symmetry_Int_Tables_number 65
_symmetry_space_group_name_Hall '-C 2 2'
loop_
_atom_site_label
_atom_site_type_symbol
_atom_site_fract_x
_atom_site_fract_y
_atom_site_fract_z
Ce1 Ce 0.0000 0.0000 0.1657
Sb1 Sb 0.0000 0.5000 0.2236
Pd1 Pd 0.0000 0.0000 0.5000
Pd2 Pd 0.0000 0.3011 0.0000
Pd3 Pd 0.2500 0.2500 0.3536
Au1 Au 0.0000 0.5000 0.5000
```

---

Record 2
Computed powder X-ray diffraction pattern
Compound: Be3GaOs
Radiation: Cu Kα X-rays
Structure: DFT lattice parameters and positions (GGA-PBE)
Peak positions follow from Bragg's law for the DFT cell and can differ from measured ones.

Largest 8 diffraction maxima, by angle, 2θ from 10° to 80°:
index	d_spacing	2θ/deg	I/Imax
1 0 0	4.248	20.91	26
1 1 0	3.004	29.74	100
2 0 0	2.124	42.57	23
2 1 0	1.900	47.88	12
2 1 1	1.734	52.79	41
2 2 0	1.502	61.77	15
3 0 0	1.416	65.97	6
3 1 0	1.343	70.05	17

Cell and atoms:
```
data_Be3GaOs
_cell_length_a 4.2479
_cell_length_b 4.2479
_cell_length_c 4.2479
_cell_angle_alpha 90.00
_cell_angle_beta 90.00
_cell_angle_gamma 90.00
_symmetry_space_group_name_H-M 'P m -3 m'
_symmetry_Int_Tables_number 221
_symmetry_space_group_name_Hall '-P 4 2 3'
loop_
_atom_site_label
_atom_site_type_symbol
_atom_site_fract_x
_atom_site_fract_y
_atom_site_fract_z
Be1 Be 0.0000 0.0000 0.5000
Ga1 Ga 0.5000 0.5000 0.5000
Os1 Os 0.0000 0.0000 0.0000
```